1.
Starting from DFT lattice parameters and positions (GGA-PBE), the X-ray diffraction stick pattern of Fe2MoP12 was simulated for a wavelength of 1.5418 Å.

Most intense lines, 2θ = 15–90°, in order of falling intensity:
Position (°2θ)  intensity
51.85  100
23.28  98
52.20  68
48.19  64
34.84  59
34.45  52
32.83  50
37.83  49
30.53  49
36.24  47
24.93  46
52.91  45

Crystal structure
abc: 13.771 5.685 11.132
angles: 90.00 90.00 90.00
Fractional positions:
1 Fe 0.150 0.103 0.041
2 Fe 0.150 0.897 0.541
3 Fe 0.350 0.397 0.541
4 Fe 0.350 0.603 0.041
5 Fe 0.650 0.397 0.959
6 Fe 0.650 0.603 0.459
7 Fe 0.850 0.103 0.459
8 Fe 0.850 0.897 0.959
9 Mo 0.000 0.399 0.750
10 Mo 0.000 0.601 0.250
11 Mo 0.500 0.101 0.250
12 Mo 0.500 0.899 0.750
13 P 0.008 0.256 0.102
14 P 0.008 0.744 0.602
15 P 0.087 0.062 0.856
16 P 0.087 0.938 0.356
17 P 0.092 0.265 0.561
18 P 0.092 0.735 0.061
19 P 0.168 0.484 0.305
20 P 0.168 0.516 0.805
21 P 0.189 0.118 0.230
22 P 0.189 0.882 0.730
23 P 0.203 0.467 0.001
24 P 0.203 0.533 0.501
25 P 0.297 0.033 0.501
26 P 0.297 0.967 0.001
27 P 0.311 0.382 0.730
28 P 0.311 0.618 0.230
29 P 0.332 0.016 0.805
30 P 0.332 0.984 0.305
31 P 0.408 0.235 0.061
32 P 0.408 0.765 0.561
33 P 0.413 0.438 0.356
34 P 0.413 0.562 0.856
35 P 0.492 0.244 0.602
36 P 0.492 0.756 0.102
37 P 0.508 0.244 0.898
38 P 0.508 0.756 0.398
39 P 0.587 0.438 0.144
40 P 0.587 0.562 0.644
41 P 0.592 0.235 0.439
42 P 0.592 0.765 0.939
43 P 0.668 0.016 0.695
44 P 0.668 0.984 0.195
45 P 0.689 0.382 0.770
46 P 0.689 0.618 0.270
47 P 0.703 0.033 0.999
48 P 0.703 0.967 0.499
49 P 0.797 0.467 0.499
50 P 0.797 0.533 0.999
51 P 0.811 0.118 0.270
52 P 0.811 0.882 0.770
53 P 0.832 0.484 0.195
54 P 0.832 0.516 0.695
55 P 0.908 0.265 0.939
56 P 0.908 0.735 0.439
57 P 0.913 0.062 0.644
58 P 0.913 0.938 0.144
59 P 0.992 0.256 0.398
60 P 0.992 0.744 0.898



2.
Starting from DFT lattice parameters and positions (GGA-PBE), the X-ray diffraction stick pattern of Fe2Mo2Pt3 was simulated for a wavelength of 1.5418 Å.

Most intense lines, 2θ = 15–90°, in order of falling intensity:
Position (°2θ)  intensity
40.61  100
39.85  91
21.51  45
42.63  45
44.85  35
63.60  25
83.76  25
29.36  20
52.48  18
42.34  17
76.67  15
69.83  15

Crystal structure
abc: 4.242 18.254 2.704
angles: 90.00 90.00 90.00
Fractional positions:
1 Fe 0.000 0.070 0.000
2 Fe 0.000 0.930 0.000
3 Fe 0.500 0.430 0.000
4 Fe 0.500 0.570 0.000
5 Mo 0.000 0.210 0.000
6 Mo 0.000 0.790 0.000
7 Mo 0.500 0.290 0.000
8 Mo 0.500 0.710 0.000
9 Pt 0.000 0.352 0.500
10 Pt 0.000 0.500 0.500
11 Pt 0.000 0.648 0.500
12 Pt 0.500 0.000 0.500
13 Pt 0.500 0.148 0.500
14 Pt 0.500 0.852 0.500



3.
Starting from DFT lattice parameters and positions (GGA-PBE), the X-ray diffraction stick pattern of V5Fe2MoPt2 was simulated for a wavelength of 1.5418 Å.

Most intense lines, 2θ = 15–90°, in order of falling intensity:
Position (°2θ)  intensity
41.27  100
33.80  55
43.10  49
50.14  38
68.21  34
24.45  30
38.43  25
32.72  23
22.98  23
45.25  21
44.41  18
86.02  18

Crystal structure
abc: 8.654 8.654 3.640
angles: 90.00 90.00 90.00
Fractional positions:
1 V 0.000 0.500 0.000
2 V 0.071 0.205 0.000
3 V 0.205 0.929 0.000
4 V 0.295 0.429 0.000
5 V 0.429 0.705 0.000
6 V 0.500 0.000 0.000
7 V 0.571 0.295 0.000
8 V 0.705 0.571 0.000
9 V 0.795 0.071 0.000
10 V 0.929 0.795 0.000
11 Fe 0.122 0.378 0.500
12 Fe 0.378 0.878 0.500
13 Fe 0.622 0.122 0.500
14 Fe 0.878 0.622 0.500
15 Mo 0.000 0.000 0.500
16 Mo 0.500 0.500 0.500
17 Pt 0.174 0.674 0.500
18 Pt 0.326 0.174 0.500
19 Pt 0.674 0.826 0.500
20 Pt 0.826 0.326 0.500



4.
Starting from DFT lattice parameters and positions (GGA-PBE), the X-ray diffraction stick pattern of FeReMo2 was simulated for a wavelength of 1.5418 Å.

Most intense lines, 2θ = 15–90°, in order of falling intensity:
Position (°2θ)  intensity
41.15  100
41.47  24
41.63  24
75.43  16
75.64  16
60.22  16
20.47  12
89.32  11
22.85  11
58.99  8
74.67  8
74.77  8

Crystal structure
abc: 3.131 4.355 8.678
angles: 90.00 90.00 90.00
Fractional positions:
1 Fe 0.000 0.000 0.000
2 Fe 0.500 0.500 0.500
3 Re 0.000 0.500 0.248
4 Re 0.500 0.000 0.748
5 Mo 0.000 0.000 0.500
6 Mo 0.000 0.500 0.752
7 Mo 0.500 0.000 0.252
8 Mo 0.500 0.500 0.000



5.
Starting from DFT lattice parameters and positions (GGA-PBE), the X-ray diffraction stick pattern of FeRe2Mo was simulated for a wavelength of 1.5418 Å.

Most intense lines, 2θ = 15–90°, in order of falling intensity:
Position (°2θ)  intensity
40.51  100
46.78  33
25.75  27
82.54  25
69.13  20
47.81  15
84.07  12
87.65  11
68.31  11
54.17  8
42.57  7
65.09  5

Crystal structure
abc: 3.884 3.884 7.609
angles: 90.00 90.00 90.00
Fractional positions:
1 Fe 0.000 0.000 0.000
2 Fe 0.500 0.500 0.500
3 Re 0.000 0.000 0.500
4 Re 0.000 0.500 0.250
5 Re 0.500 0.000 0.750
6 Re 0.500 0.500 0.000
7 Mo 0.000 0.500 0.750
8 Mo 0.500 0.000 0.250



6.
Starting from DFT lattice parameters and positions (GGA-PBE), the X-ray diffraction stick pattern of FeReMo2 was simulated for a wavelength of 1.5418 Å.

Most intense lines, 2θ = 15–90°, in order of falling intensity:
Position (°2θ)  intensity
41.05  100
41.51  97
41.16  50
41.29  49
75.25  33
59.72  32
74.77  25
20.25  24
17.45  18
74.94  17
75.73  16
59.88  16

Crystal structure
abc: 2.659 4.386 5.154
angles: 90.00 99.56 90.00
Fractional positions:
1 Fe 0.000 0.000 0.000
2 Re 0.252 0.500 0.752
3 Mo 0.500 0.000 0.504
4 Mo 0.743 0.500 0.240



7.
Starting from DFT lattice parameters and positions (GGA-PBE), the X-ray diffraction stick pattern of Fe6ReMo was simulated for a wavelength of 1.5418 Å.

Most intense lines, 2θ = 15–90°, in order of falling intensity:
Position (°2θ)  intensity
43.42  100
50.47  32
74.40  19
50.77  15
24.62  15
35.19  12
74.16  9
24.75  7
56.97  6
35.09  6
63.02  5
57.21  3

Crystal structure
abc: 6.252 6.252 10.230
angles: 90.00 90.00 109.75
Fractional positions:
1 Fe 0.000 0.000 0.000
2 Fe 0.000 0.000 0.500
3 Fe 0.122 0.374 0.124
4 Fe 0.122 0.374 0.876
5 Fe 0.124 0.372 0.374
6 Fe 0.124 0.372 0.626
7 Fe 0.249 0.751 0.248
8 Fe 0.249 0.751 0.752
9 Fe 0.372 0.124 0.374
10 Fe 0.372 0.124 0.626
11 Fe 0.374 0.122 0.124
12 Fe 0.374 0.122 0.876
13 Fe 0.500 0.500 0.000
14 Fe 0.500 0.500 0.500
15 Fe 0.626 0.878 0.124
16 Fe 0.626 0.878 0.876
17 Fe 0.628 0.876 0.374
18 Fe 0.628 0.876 0.626
19 Fe 0.751 0.249 0.248
20 Fe 0.751 0.249 0.752
21 Fe 0.876 0.628 0.374
22 Fe 0.876 0.628 0.626
23 Fe 0.878 0.626 0.124
24 Fe 0.878 0.626 0.876
25 Re 0.000 0.000 0.252
26 Re 0.000 0.000 0.748
27 Re 0.252 0.748 0.000
28 Re 0.748 0.252 0.000
29 Mo 0.252 0.748 0.500
30 Mo 0.500 0.500 0.252
31 Mo 0.500 0.500 0.748
32 Mo 0.748 0.252 0.500



8.
Starting from DFT lattice parameters and positions (GGA-PBE), the X-ray diffraction stick pattern of Fe8ReMo3 was simulated for a wavelength of 1.5418 Å.

Most intense lines, 2θ = 15–90°, in order of falling intensity:
Position (°2θ)  intensity
41.48  100
45.41  92
46.51  65
38.65  55
71.87  36
77.63  30
82.87  22
74.69  20
24.87  15
44.93  15
32.01  10
22.03  10

Crystal structure
abc: 4.660 4.660 7.756
angles: 90.00 90.00 120.00
Fractional positions:
1 Fe 0.000 0.000 0.000
2 Fe 0.000 0.000 0.499
3 Fe 0.170 0.340 0.749
4 Fe 0.170 0.830 0.749
5 Fe 0.341 0.170 0.249
6 Fe 0.660 0.830 0.749
7 Fe 0.830 0.170 0.249
8 Fe 0.830 0.659 0.249
9 Re 0.667 0.333 0.565
10 Mo 0.333 0.667 0.070
11 Mo 0.333 0.667 0.436
12 Mo 0.667 0.333 0.926